No. 1
Structure and calculated X-ray diffraction stick pattern of AcTb2Au3 (a cell relaxed with PBE; Cu Kα (λ = 1.5418 Å)).

Main lines, in order of falling intensity (5° ≤ 2θ ≤ 70°):
(1 0 3), 2θ = 34.1°, I = 100; (1 1 0), 2θ = 34.3°, I = 55; (2 1 3), 2θ = 61.3°, I = 38; (2 0 0), 2θ = 49.3°, I = 20; (1 1 6), 2θ = 60.9°, I = 14; (0 0 6), 2θ = 48.7°, I = 7; (1 0 2), 2θ = 28.9°, I = 5; (1 0 4), 2θ = 40.4°, I = 4; (1 0 7), 2θ = 63.3°, I = 3; (1 1 4), 2θ = 47.6°, I = 3

Crystal structure
```
data_AcTb2Au3
_chemical_formula_sum 'Ac1 Tb2 Au3'
_symmetry_space_group_name_H-M 'P 4/m m m'
_symmetry_Int_Tables_number 123
_symmetry_space_group_name_Hall '-P 4 2'
_cell_length_a 3.694
_cell_length_b 3.694
_cell_length_c 11.218
_cell_angle_alpha 90.00
_cell_angle_beta 90.00
_cell_angle_gamma 90.00
loop_
_atom_site_label
_atom_site_type_symbol
_atom_site_fract_x
_atom_site_fract_y
_atom_site_fract_z
Ac1 Ac 0.000 0.000 0.000
Tb1 Tb 0.000 0.000 0.341
Au1 Au 0.500 0.500 0.195
Au2 Au 0.500 0.500 0.500
```

***

No. 2
Structure and calculated X-ray diffraction stick pattern of Ac2Tb12Au7 (a cell relaxed with PBE; Cu Kα (λ = 1.5418 Å)).

Main lines, in order of falling intensity (5° ≤ 2θ ≤ 70°):
(2 1 1), 2θ = 29.3°, I = 100; (0 0 2), 2θ = 36.4°, I = 59; (1 4 0), 2θ = 40.3°, I = 30; (1 4 2), 2θ = 55.4°, I = 24; (3 2 1), 2θ = 42.5°, I = 19; (5 3 1), 2θ = 66.5°, I = 13; (2 1 3), 2θ = 61.2°, I = 13; (4 0 0), 2θ = 35.0°, I = 12; (3 0 1), 2θ = 31.8°, I = 11; (4 0 1), 2θ = 39.6°, I = 10

Crystal structure
```
data_Ac2Tb12Au7
_chemical_formula_sum 'Ac2 Tb12 Au7'
_symmetry_space_group_name_H-M 'P -6'
_symmetry_Int_Tables_number 174
_cell_length_a 11.8496
_cell_length_b 11.8496
_cell_length_c 4.9326
_cell_angle_alpha 90.00
_cell_angle_beta 90.00
_cell_angle_gamma 120.00
loop_
_symmetry_equiv_pos_as_xyz
'x,y,z'
'-x+y,-x,-z'
'-y,x-y,z'
'x,y,-z'
'-x+y,-x,z'
'-y,x-y,-z'
loop_
_atom_site_label
_atom_site_type_symbol
_atom_site_fract_x
_atom_site_fract_y
_atom_site_fract_z
Ac1 Ac 0.0000 0.0000 0.0000
Ac2 Ac 0.3333 0.6667 0.5000
Tb1 Tb 0.0511 0.2664 0.5000
Tb2 Tb 0.1121 0.7032 0.0000
Tb3 Tb 0.3882 0.1807 0.0000
Tb4 Tb 0.5496 0.4365 0.5000
Au1 Au 0.0727 0.4420 0.0000
Au2 Au 0.2720 0.2259 0.5000
Au3 Au 0.6667 0.3333 0.0000
```

***

No. 3
Structure and calculated X-ray diffraction stick pattern of Ac5Te8Au (a cell relaxed with PBE; Cu Kα (λ = 1.5418 Å)).

Main lines, in order of falling intensity (5° ≤ 2θ ≤ 70°):
(3 1 0), 2θ = 28.8°, I = 100; (1 0 3), 2θ = 27.8°, I = 97; (3 0 1), 2θ = 28.7°, I = 91; (2 1 3), 2θ = 33.3°, I = 69; (1 3 2), 2θ = 33.8°, I = 56; (2 3 1), 2θ = 34.1°, I = 49; (1 2 1), 2θ = 22.0°, I = 45; (2 3 3), 2θ = 42.6°, I = 38; (1 6 1), 2θ = 57.9°, I = 27; (5 2 3), 2θ = 57.4°, I = 27

Crystal structure
```
data_Ac5Te8Au
_chemical_formula_sum 'Ac10 Te16 Au2'
_symmetry_space_group_name_H-M 'I -4'
_symmetry_Int_Tables_number 82
_cell_length_a 9.816
_cell_length_b 9.816
_cell_length_c 10.193
_cell_angle_alpha 90.00
_cell_angle_beta 90.00
_cell_angle_gamma 90.00
loop_
_symmetry_equiv_pos_as_xyz
'x,y,z'
'y,-x,-z'
'-x,-y,z'
'-y,x,-z'
'x+1/2,y+1/2,z+1/2'
'y+1/2,-x+1/2,-z+1/2'
'-x+1/2,-y+1/2,z+1/2'
'-y+1/2,x+1/2,-z+1/2'
loop_
_atom_site_label
_atom_site_type_symbol
_atom_site_fract_x
_atom_site_fract_y
_atom_site_fract_z
Ac1 Ac 0.000 0.000 0.000
Ac2 Ac 0.127 0.750 0.385
Te1 Te 0.063 0.805 0.711
Te2 Te 0.082 0.681 0.068
Au1 Au 0.000 0.500 0.750
```